For Ba2YAg3O6, a cell relaxed with PBE gives the simulated PXRD pattern in this record (Cu Kα (weighted mean of Kα1 and Kα2)).

Structure:
Cell lengths 4.107, 4.107, 12.696 Å; angles 90.00, 90.00, 90.00 degrees
Space group P4/mmm (No. 123)
Unique sites:
Ba (0.000, 0.000, 0.203) (multiplicity 2)
Y (0.000, 0.000, 0.500) (multiplicity 1)
Ag (0.500, 0.500, 0.000) (multiplicity 1)
Ag (0.500, 0.500, 0.365) (multiplicity 2)
O (0.000, 0.500, 0.389) (multiplicity 4)
O (0.500, 0.500, 0.162) (multiplicity 2)

The 6 most intense peaks (10° ≤ 2θ ≤ 90°), by intensity:
Position (°2θ)  d_spacing  Rel. int.
30.3  2.947  100.0
30.8  2.904  66.7
54.5  1.685  37.5
44.1  2.053  34.6
35.8  2.511  20.9
25.8  3.448  18.7